Record 1
Structure and calculated XRD peak list of Hg2PBr (the PBE geometry in Alexandria; CuKα).

Top 10 peaks for 2θ = 5–70°, in order of rising 2θ:
14.73°, d = 6.015 Å, rel. 12; 24.57°, d = 3.624 Å, rel. 100; 27.79°, d = 3.210 Å, rel. 22; 31.59°, d = 2.832 Å, rel. 24; 35.81°, d = 2.507 Å, rel. 34; 39.71°, d = 2.270 Å, rel. 28; 41.13°, d = 2.195 Å, rel. 20; 47.25°, d = 1.924 Å, rel. 35; 54.53°, d = 1.683 Å, rel. 21; 61.73°, d = 1.503 Å, rel. 12

Structural model:
Cell lengths 4.540, 4.540, 6.015 Å; angles 90.00, 90.00, 90.00 degrees
Atoms (fractional coordinates):
Hg: 0.000 0.500 0.169
Hg: 0.500 0.000 0.831
P: 0.500 0.500 0.000
Br: 0.000 0.000 0.500


Record 2
Structure and calculated XRD peak list of Hg4P2Br3 (the PBE geometry in Alexandria; CuKα).

Top 10 peaks for 2θ = 5–70°, in order of rising 2θ:
20.43°, d = 4.347 Å, rel. 24; 22.63°, d = 3.928 Å, rel. 58; 24.78°, d = 3.593 Å, rel. 44; 29.01°, d = 3.078 Å, rel. 100; 30.96°, d = 2.888 Å, rel. 17; 33.67°, d = 2.662 Å, rel. 34; 38.80°, d = 2.321 Å, rel. 19; 44.03°, d = 2.056 Å, rel. 23; 46.60°, d = 1.949 Å, rel. 19; 50.06°, d = 1.822 Å, rel. 15

Structural model:
Cell lengths 8.717, 8.717, 8.226 Å; angles 90.14, 90.14, 64.33 degrees
Atoms (fractional coordinates):
Hg: 0.173 0.723 0.501
Hg: 0.268 0.276 0.245
Hg: 0.276 0.268 0.745
Hg: 0.277 0.827 0.999
Hg: 0.723 0.173 0.001
Hg: 0.724 0.732 0.255
Hg: 0.732 0.724 0.755
Hg: 0.827 0.277 0.499
P: 0.139 0.451 0.498
P: 0.451 0.139 0.998
P: 0.549 0.861 0.002
P: 0.861 0.549 0.502
Br: 0.002 0.998 0.250
Br: 0.161 0.590 0.994
Br: 0.410 0.839 0.506
Br: 0.590 0.161 0.494
Br: 0.839 0.410 0.006
Br: 0.998 0.002 0.750


Record 3
Structure and calculated XRD peak list of Hg7P4Br6 (the PBE geometry in Alexandria; CuKα).

Top 10 peaks for 2θ = 5–70°, in order of rising 2θ:
19.83°, d = 4.477 Å, rel. 29; 22.98°, d = 3.870 Å, rel. 40; 24.96°, d = 3.568 Å, rel. 51; 25.11°, d = 3.546 Å, rel. 25; 25.32°, d = 3.518 Å, rel. 26; 28.96°, d = 3.084 Å, rel. 23; 29.65°, d = 3.013 Å, rel. 100; 30.65°, d = 2.917 Å, rel. 29; 32.39°, d = 2.764 Å, rel. 23; 49.12°, d = 1.855 Å, rel. 24

Structural model:
Cell lengths 6.163, 20.296, 7.740 Å; angles 90.00, 104.30, 90.00 degrees
Atoms (fractional coordinates):
Hg: 0.000 0.000 0.000
Hg: 0.000 0.500 0.500
Hg: 0.095 0.231 0.197
Hg: 0.095 0.269 0.697
Hg: 0.219 0.591 0.990
Hg: 0.219 0.909 0.490
Hg: 0.494 0.636 0.576
Hg: 0.494 0.864 0.076
Hg: 0.506 0.136 0.924
Hg: 0.506 0.364 0.424
Hg: 0.781 0.091 0.510
Hg: 0.781 0.409 0.010
Hg: 0.905 0.731 0.303
Hg: 0.905 0.769 0.803
P: 0.124 0.178 0.917
P: 0.124 0.322 0.417
P: 0.143 0.603 0.662
P: 0.143 0.897 0.162
P: 0.857 0.103 0.838
P: 0.857 0.397 0.338
P: 0.876 0.678 0.583
P: 0.876 0.822 0.083
Br: 0.198 0.115 0.436
Br: 0.198 0.385 0.936
Br: 0.359 0.712 0.206
Br: 0.359 0.788 0.706
Br: 0.396 0.521 0.277
Br: 0.396 0.979 0.777
Br: 0.604 0.021 0.223
Br: 0.604 0.479 0.723
Br: 0.641 0.212 0.294
Br: 0.641 0.288 0.794
Br: 0.802 0.615 0.064
Br: 0.802 0.885 0.564


What did the third record say?
Structure and calculated XRD peak list of Hg7P4Br6 (the PBE geometry in Alexandria; CuKα).

Top 10 peaks for 2θ = 5–70°, in order of rising 2θ:
19.83°, d = 4.477 Å, rel. 29; 22.98°, d = 3.870 Å, rel. 40; 24.96°, d = 3.568 Å, rel. 51; 25.11°, d = 3.546 Å, rel. 25; 25.32°, d = 3.518 Å, rel. 26; 28.96°, d = 3.084 Å, rel. 23; 29.65°, d = 3.013 Å, rel. 100; 30.65°, d = 2.917 Å, rel. 29; 32.39°, d = 2.764 Å, rel. 23; 49.12°, d = 1.855 Å, rel. 24

Structural model:
Cell lengths 6.163, 20.296, 7.740 Å; angles 90.00, 104.30, 90.00 degrees
Atoms (fractional coordinates):
Hg: 0.000 0.000 0.000
Hg: 0.000 0.500 0.500
Hg: 0.095 0.231 0.197
Hg: 0.095 0.269 0.697
Hg: 0.219 0.591 0.990
Hg: 0.219 0.909 0.490
Hg: 0.494 0.636 0.576
Hg: 0.494 0.864 0.076
Hg: 0.506 0.136 0.924
Hg: 0.506 0.364 0.424
Hg: 0.781 0.091 0.510
Hg: 0.781 0.409 0.010
Hg: 0.905 0.731 0.303
Hg: 0.905 0.769 0.803
P: 0.124 0.178 0.917
P: 0.124 0.322 0.417
P: 0.143 0.603 0.662
P: 0.143 0.897 0.162
P: 0.857 0.103 0.838
P: 0.857 0.397 0.338
P: 0.876 0.678 0.583
P: 0.876 0.822 0.083
Br: 0.198 0.115 0.436
Br: 0.198 0.385 0.936
Br: 0.359 0.712 0.206
Br: 0.359 0.788 0.706
Br: 0.396 0.521 0.277
Br: 0.396 0.979 0.777
Br: 0.604 0.021 0.223
Br: 0.604 0.479 0.723
Br: 0.641 0.212 0.294
Br: 0.641 0.288 0.794
Br: 0.802 0.615 0.064
Br: 0.802 0.885 0.564